This entry pairs a crystal structure of Na3CeSc3Se8 with its theoretical powder diffraction line list. Radiation: Cu Kα. Structure: the GGA-PBE geometry in Alexandria.
Kinematic intensities with the Lorentz-polarization factor, no thermal factor.

Cell and atoms:
```
Na3CeSc3Se8
1.0
3.980 2.298 6.998
-3.980 2.298 6.998
0.000 -4.596 6.998
Na Ce Sc Se
3 1 3 8
direct
0.000 0.500 0.500
0.500 0.000 0.500
0.500 0.500 0.000
0.500 0.500 0.500
0.000 0.000 0.500
0.000 0.500 0.000
0.500 0.000 0.000
0.226 0.748 0.748
0.239 0.239 0.239
0.252 0.252 0.774
0.252 0.774 0.252
0.748 0.226 0.748
0.748 0.748 0.226
0.761 0.761 0.761
0.774 0.252 0.252
```

Top 10 peaks for 2θ from 5° to 70°, by intensity:
31.04°, rel. 100.0; 43.33°, rel. 34.5; 45.59°, rel. 34.2; 12.65°, rel. 32.1; 56.18°, rel. 18.0; 27.23°, rel. 11.9; 39.84°, rel. 11.6; 64.71°, rel. 9.8; 54.99°, rel. 7.3; 47.50°, rel. 6.3



This entry pairs a crystal structure of HgRh2Se3 with its theoretical powder diffraction line list. Radiation: Cu Kα. Structure: the GGA-PBE geometry in Alexandria.
Kinematic intensities with the Lorentz-polarization factor, no thermal factor.

Cell and atoms:
```
HgRh2Se3
1.0
6.505 -1.799 0.000
6.505 1.799 0.000
-5.817 0.000 10.619
Hg Rh Se
2 4 6
direct
0.081 0.081 0.206
0.919 0.919 0.794
0.240 0.240 0.628
0.257 0.257 0.136
0.743 0.743 0.864
0.760 0.760 0.372
0.119 0.119 0.730
0.366 0.366 0.522
0.369 0.369 0.019
0.631 0.631 0.981
0.634 0.634 0.478
0.881 0.881 0.270
```

Top 10 peaks for 2θ from 5° to 70°, by intensity:
33.07°, rel. 100.0; 33.27°, rel. 47.6; 42.95°, rel. 32.9; 51.96°, rel. 30.0; 50.76°, rel. 16.7; 43.99°, rel. 15.7; 62.06°, rel. 15.6; 15.53°, rel. 12.1; 13.64°, rel. 10.8; 45.57°, rel. 9.3